(1)
The following is a simulated powder diffractogram of NaPaInO6. It was derived from a crystal structure in Alexandria, relaxed with GGA-PBE, using CuKα.

Unit cell a=5.7144 b=5.7144 c=4.7664 alpha=90.00 beta=90.00 gamma=120.00
Space group P312 (No. 149)
One atom of each set of equivalent atoms:
Na 0.0000 0.0000 0.0000 (multiplicity 1)
Pa 0.6667 0.3333 0.5000 (multiplicity 1)
In 0.3333 0.6667 0.0000 (multiplicity 1)
O 0.3739 0.0061 0.2441 (multiplicity 6)

Principal peaks in the range 10° ≤ 2θ ≤ 80°, in order of rising 2θ:
(hkl)  2θ/deg  I_rel
1 0 0  17.92  44
1 0 1  25.95  100
1 1 0  31.31  33
2 0 1  41.10  30
1 0 2  42.08  8
2 -1 2  49.83  30
2 1 1  52.56  30
3 0 0  55.72  12
1 0 3  61.28  9
4 -1 1  71.53  12
2 2 2  77.98  7
3 -1 3  79.08  9


(2)
The following is a simulated powder diffractogram of PrNdSe2. It was derived from a crystal structure in Alexandria, relaxed with GGA-PBE, using CuKα.

Unit cell a=4.1871 b=4.1871 c=14.3182 alpha=90.00 beta=90.00 gamma=120.00
Space group P6_3/mmc (No. 194)
One atom of each set of equivalent atoms:
Pr 0.3333 0.6667 0.2500 (multiplicity 2)
Nd 0.0000 0.0000 0.0000 (multiplicity 2)
Se 0.3333 0.6667 0.6220 (multiplicity 4)

Principal peaks in the range 10° ≤ 2θ ≤ 80°, in order of rising 2θ:
(hkl)  2θ/deg  I_rel
1 0 2  27.57  100
1 0 3  30.97  84
1 0 4  35.23  27
1 0 5  40.12  36
1 1 0  43.21  65
1 0 6  45.50  29
0 0 8  51.03  13
2 0 2  52.03  17
2 0 3  54.11  17
1 1 8  69.04  32
2 1 2  69.88  14
2 1 3  71.64  15